(1)
Structure and simulated X-ray powder pattern of HoAlB14 (a structure optimized by DFT (GGA-PBE); Cu Kα, 1.54184 Å).

Largest 10 diffraction maxima, low angle first, 15° ≤ 2θ ≤ 90°:
2θ 16.97, intensity 70.1, hkl 0 2 0
2θ 18.53, intensity 25.1, hkl 1 0 1
2θ 25.23, intensity 53.4, hkl 1 2 1
2θ 27.82, intensity 100.0, hkl 1 1 2
2θ 33.43, intensity 53.3, hkl 2 1 1
2θ 34.97, intensity 32.0, hkl 2 2 0
2θ 36.16, intensity 22.2, hkl 1 0 3
2θ 37.12, intensity 49.8, hkl 1 3 2
2θ 40.20, intensity 50.3, hkl 1 2 3
2θ 41.63, intensity 44.0, hkl 2 3 1

Structural model:
a = 5.8921 Å, b = 10.4469 Å, c = 8.2173 Å
α = 90.00°, β = 90.00°, γ = 90.00°
Space group Imma (No. 74)
Symmetry-distinct sites (fractional):
Ho  0.0000  0.2500  0.1499 x4
Al  0.2500  0.2500  0.7500 x4
B  0.0000  0.0898  0.6669 x8
B  0.0000  0.1430  0.8739 x8
B  0.0000  0.1673  0.4659 x8
B  0.1629  0.0611  0.3377 x16
B  0.2479  0.0798  0.5481 x16


(2)
Structure and simulated X-ray powder pattern of Cu5Ag4 (a structure optimized by DFT (GGA-PBE); Cu Kα, 1.54184 Å).

Largest 10 diffraction maxima, low angle first, 15° ≤ 2θ ≤ 90°:
2θ 40.21, intensity 100.0, hkl 1 0 3
2θ 40.36, intensity 97.1, hkl 0 3 3
2θ 45.83, intensity 68.3, hkl 1 3 0
2θ 48.86, intensity 26.7, hkl 0 0 6
2θ 66.61, intensity 10.4, hkl 2 0 0
2θ 67.03, intensity 9.7, hkl 0 6 0
2θ 69.23, intensity 34.0, hkl 1 3 6
2θ 80.85, intensity 22.8, hkl 2 3 3
2θ 81.15, intensity 21.4, hkl 1 6 3
2θ 85.49, intensity 17.7, hkl 1 0 9

Structural model:
a = 2.8079 Å, b = 8.3767 Å, c = 11.1837 Å
α = 90.00°, β = 90.00°, γ = 90.00°
Space group Immm (No. 71)
Symmetry-distinct sites (fractional):
Cu  0.0000  0.0000  0.0000 x2
Cu  0.0000  0.0000  0.3417 x4
Cu  0.0000  0.3502  0.0000 x4
Ag  0.0000  0.3312  0.3407 x8


(3)
Structure and simulated X-ray powder pattern of NdBAsO (a structure optimized by DFT (GGA-PBE); Cu Kα, 1.54184 Å).

Largest 10 diffraction maxima, low angle first, 15° ≤ 2θ ≤ 90°:
2θ 24.86, intensity 21.9, hkl 1 0 1
2θ 30.91, intensity 50.4, hkl 1 1 0
2θ 32.60, intensity 100.0, hkl 1 0 2
2θ 44.28, intensity 29.0, hkl 2 0 0
2θ 48.45, intensity 8.8, hkl 1 1 3
2θ 56.05, intensity 42.3, hkl 2 1 2
2θ 59.21, intensity 15.4, hkl 1 1 4
2θ 64.41, intensity 9.2, hkl 2 2 0
2θ 73.15, intensity 9.0, hkl 3 1 0
2θ 74.08, intensity 9.2, hkl 3 0 2

Structural model:
a = 4.0912 Å, b = 4.0912 Å, c = 7.4136 Å
α = 90.00°, β = 90.00°, γ = 90.00°
Space group P4/nmm (No. 129, origin choice 2)
Symmetry-distinct sites (fractional):
Nd  0.2500  0.2500  0.1569 x2
B  0.2500  0.7500  0.5000 x2
As  0.2500  0.2500  0.6135 x2
O  0.2500  0.7500  0.0000 x2


(4)
Structure and simulated X-ray powder pattern of TlPbAu3S4 (a structure optimized by DFT (GGA-PBE); Cu Kα, 1.54184 Å).

Largest 10 diffraction maxima, low angle first, 15° ≤ 2θ ≤ 90°:
2θ 20.39, intensity 20.3, hkl 1 1 0
2θ 25.03, intensity 71.4, hkl 1 1 1
2θ 28.99, intensity 75.5, hkl 2 0 0
2θ 41.45, intensity 100.0, hkl 2 2 0
2θ 49.04, intensity 35.4, hkl 3 1 1
2θ 51.37, intensity 22.1, hkl 2 2 2
2θ 60.07, intensity 16.8, hkl 4 0 0
2θ 66.11, intensity 14.5, hkl 3 3 1
2θ 68.05, intensity 29.2, hkl 4 2 0
2θ 75.61, intensity 34.8, hkl 4 2 2

Structural model:
a = 6.1610 Å, b = 6.1610 Å, c = 6.1610 Å
α = 90.00°, β = 90.00°, γ = 90.00°
Space group P-43m (No. 215)
Symmetry-distinct sites (fractional):
Tl  0.0000  0.0000  0.0000 x1
Pb  0.5000  0.5000  0.5000 x1
Au  0.0000  0.5000  0.5000 x3
S  0.2418  0.2418  0.2418 x4


(5)
Structure and simulated X-ray powder pattern of K3NbTe2Se2 (a structure optimized by DFT (GGA-PBE); Cu Kα, 1.54184 Å).

Largest 10 diffraction maxima, low angle first, 15° ≤ 2θ ≤ 90°:
2θ 15.87, intensity 40.5, hkl 2 0 0
2θ 25.09, intensity 100.0, hkl 1 3 1
2θ 25.22, intensity 28.8, hkl 0 2 2
2θ 26.22, intensity 71.0, hkl 2 0 2
2θ 27.07, intensity 54.5, hkl 3 1 1
2θ 29.94, intensity 90.5, hkl 2 2 2
2θ 32.05, intensity 28.4, hkl 4 0 0
2θ 38.43, intensity 26.1, hkl 1 5 1
2θ 39.14, intensity 33.3, hkl 1 3 3
2θ 45.59, intensity 51.4, hkl 3 3 3

Structural model:
a = 11.1718 Å, b = 12.4878 Å, c = 8.5637 Å
α = 90.00°, β = 90.00°, γ = 90.00°
Space group Fmm2 (No. 42)
Symmetry-distinct sites (fractional):
K  0.0000  0.0000  0.0000 x4
K  0.2500  0.2500  0.4156 x8
Nb  0.0000  0.0000  0.4856 x4
Te  0.0000  0.1780  0.6595 x8
Se  0.1740  0.0000  0.3210 x8


(6)
Structure and simulated X-ray powder pattern of CuAg4 (a structure optimized by DFT (GGA-PBE); Cu Kα, 1.54184 Å).

Largest 10 diffraction maxima, low angle first, 15° ≤ 2θ ≤ 90°:
2θ 22.29, intensity 1.0, hkl 1 1 0
2θ 31.41, intensity 0.9, hkl 1 1 1
2θ 38.40, intensity 100.0, hkl 1 5 1
2θ 44.55, intensity 32.3, hkl 2 0 0
2θ 44.80, intensity 15.7, hkl 0 10 0
2θ 64.83, intensity 9.9, hkl 2 0 2
2θ 65.02, intensity 19.3, hkl 2 10 0
2θ 77.93, intensity 22.9, hkl 3 5 1
2θ 78.29, intensity 11.0, hkl 1 15 1
2θ 82.24, intensity 9.9, hkl 2 10 2

Structural model:
a = 4.0675 Å, b = 20.2305 Å, c = 4.0684 Å
α = 90.00°, β = 90.00°, γ = 90.00°
Space group Cmmm (No. 65)
Symmetry-distinct sites (fractional):
Cu  0.0000  0.0993  0.0000 x4
Ag  0.0000  0.0000  0.5000 x2
Ag  0.0000  0.1974  0.5000 x4
Ag  0.0000  0.3029  0.0000 x4
Ag  0.0000  0.4015  0.5000 x4
Ag  0.0000  0.5000  0.0000 x2


(7)
Structure and simulated X-ray powder pattern of TaH5 (a structure optimized by DFT (GGA-PBE); Cu Kα, 1.54184 Å).

Largest 10 diffraction maxima, low angle first, 15° ≤ 2θ ≤ 90°:
2θ 18.97, intensity 100.0, hkl 0 1 0
2θ 21.84, intensity 19.4, hkl 0 1 -1
2θ 30.30, intensity 74.4, hkl 1 -1 0
2θ 31.28, intensity 48.4, hkl 0 1 1
2θ 36.67, intensity 61.0, hkl 0 2 -1
2θ 39.25, intensity 44.0, hkl 1 1 -1
2θ 39.46, intensity 43.3, hkl 1 0 -2
2θ 43.91, intensity 27.6, hkl 1 0 1
2θ 44.30, intensity 26.3, hkl -1 2 1
2θ 59.24, intensity 16.1, hkl 0 0 3

Structural model:
a = 3.1652 Å, b = 5.2059 Å, c = 5.2167 Å
α = 102.67°, β = 107.47°, γ = 107.29°
Space group P-1 (No. 2)
Symmetry-distinct sites (fractional):
Ta  0.2494  0.1577  0.3419 x2
H  0.0683  0.7616  0.4008 x2
H  0.0922  0.2011  0.9836 x2
H  0.2498  0.7176  0.7816 x2
H  0.4006  0.5167  0.2996 x2
H  0.4320  0.0990  0.7391 x2


(8)
Structure and simulated X-ray powder pattern of Li2Hf2Ga2NiPd (a structure optimized by DFT (GGA-PBE); Cu Kα, 1.54184 Å).

Largest 10 diffraction maxima, low angle first, 15° ≤ 2θ ≤ 90°:
2θ 24.92, intensity 55.8, hkl 1 0 1
2θ 28.72, intensity 13.7, hkl 0 0 2
2θ 28.92, intensity 27.6, hkl 1 1 0
2θ 41.21, intensity 100.0, hkl 1 1 2
2θ 41.36, intensity 50.1, hkl 2 0 0
2θ 48.89, intensity 18.3, hkl 2 1 1
2θ 51.13, intensity 11.4, hkl 2 0 2
2θ 59.92, intensity 16.6, hkl 2 2 0
2θ 75.01, intensity 16.1, hkl 2 0 4
2θ 75.31, intensity 33.0, hkl 3 1 2

Structural model:
a = 4.3663 Å, b = 4.3663 Å, c = 6.2175 Å
α = 90.00°, β = 90.00°, γ = 90.00°
Space group P-4m2 (No. 115)
Symmetry-distinct sites (fractional):
Li  0.0000  0.0000  0.0000 x1
Li  0.5000  0.5000  0.5000 x1
Hf  0.0000  0.5000  0.2385 x2
Ga  0.0000  0.5000  0.7575 x2
Ni  0.5000  0.5000  0.0000 x1
Pd  0.0000  0.0000  0.5000 x1


(9)
Structure and simulated X-ray powder pattern of HgPAuO (a structure optimized by DFT (GGA-PBE); Cu Kα, 1.54184 Å).

Largest 10 diffraction maxima, low angle first, 15° ≤ 2θ ≤ 90°:
2θ 23.92, intensity 26.8, hkl 0 2 0
2θ 26.77, intensity 30.8, hkl 1 1 0
2θ 29.01, intensity 39.5, hkl 0 2 1
2θ 31.43, intensity 100.0, hkl 1 1 1
2θ 32.67, intensity 36.1, hkl 0 0 2
2θ 40.89, intensity 17.2, hkl 0 2 2
2θ 43.86, intensity 31.2, hkl 1 3 0
2θ 51.91, intensity 16.5, hkl 0 4 1
2θ 55.74, intensity 27.1, hkl 1 3 2
2θ 57.52, intensity 18.0, hkl 1 1 3

Structural model:
a = 3.7246 Å, b = 7.4398 Å, c = 5.4827 Å
α = 90.00°, β = 90.00°, γ = 90.00°
Space group Pmc2_1 (No. 26)
Symmetry-distinct sites (fractional):
Hg  0.0000  0.1661  0.0000 x2
P  0.5000  0.3874  0.8823 x2
Au  0.5000  0.3085  0.4543 x2
O  0.0000  0.1237  0.4550 x2


(10)
Structure and simulated X-ray powder pattern of ErSnTe3Au (a structure optimized by DFT (GGA-PBE); Cu Kα, 1.54184 Å).

Largest 10 diffraction maxima, low angle first, 15° ≤ 2θ ≤ 90°:
2θ 27.65, intensity 38.7, hkl 6 0 0
2θ 29.29, intensity 100.0, hkl 1 1 -2
2θ 34.38, intensity 42.7, hkl 5 1 1
2θ 35.17, intensity 22.3, hkl 5 1 -2
2θ 38.87, intensity 18.1, hkl 7 1 0
2θ 39.12, intensity 15.6, hkl 8 0 -2
2θ 40.19, intensity 17.2, hkl 5 1 2
2θ 41.17, intensity 19.7, hkl 2 0 -4
2θ 42.62, intensity 30.3, hkl 0 2 0
2θ 51.56, intensity 13.9, hkl 6 2 -1

Structural model:
a = 19.7080 Å, b = 4.2429 Å, c = 8.7765 Å
α = 90.00°, β = 100.82°, γ = 90.00°
Space group C2/m (No. 12)
Symmetry-distinct sites (fractional):
Er  0.1603  0.0000  0.0926 x4
Sn  0.1240  0.0000  0.5761 x4
Te  0.0000  0.0000  0.0000 x2
Te  0.0000  0.5000  0.5000 x2
Te  0.1776  0.5000  0.8518 x4
Te  0.1899  0.5000  0.3513 x4
Au  0.0536  0.5000  0.2138 x4


(11)
Structure and simulated X-ray powder pattern of Pr4CCl4F (a structure optimized by DFT (GGA-PBE); Cu Kα, 1.54184 Å).

Largest 10 diffraction maxima, low angle first, 15° ≤ 2θ ≤ 90°:
2θ 26.46, intensity 24.3, hkl 1 1 -1
2θ 27.92, intensity 19.5, hkl 4 0 -2
2θ 28.26, intensity 40.6, hkl 3 1 0
2θ 28.39, intensity 21.7, hkl 2 0 2
2θ 31.07, intensity 52.1, hkl 6 0 0
2θ 32.21, intensity 23.5, hkl 3 1 1
2θ 33.47, intensity 100.0, hkl 1 1 -2
2θ 35.21, intensity 27.0, hkl 5 1 0
2θ 46.00, intensity 27.5, hkl 7 1 -2
2θ 46.62, intensity 36.9, hkl 5 1 2

Structural model:
a = 17.7537 Å, b = 3.7767 Å, c = 7.5943 Å
α = 90.00°, β = 103.38°, γ = 90.00°
Space group C2/m (No. 12)
Symmetry-distinct sites (fractional):
Pr  0.0028  0.0000  0.2638 x4
Pr  0.1472  0.5000  0.5903 x4
C  0.0000  0.5000  0.5000 x2
Cl  0.1610  0.0000  0.8719 x4
Cl  0.1715  0.0000  0.3233 x4
F  0.0000  0.5000  0.0000 x2


(12)
Structure and simulated X-ray powder pattern of ZrGa2Bi (a structure optimized by DFT (GGA-PBE); Cu Kα, 1.54184 Å).

Largest 10 diffraction maxima, low angle first, 15° ≤ 2θ ≤ 90°:
2θ 21.38, intensity 20.4, hkl 1 1 1
2θ 24.74, intensity 7.5, hkl 2 0 0
2θ 35.27, intensity 100.0, hkl 2 2 0
2θ 41.62, intensity 11.8, hkl 3 1 1
2θ 50.74, intensity 17.7, hkl 4 0 0
2θ 55.67, intensity 5.2, hkl 3 3 1
2θ 63.31, intensity 36.3, hkl 4 2 2
2θ 74.59, intensity 11.3, hkl 4 4 0
2θ 78.65, intensity 4.2, hkl 5 3 1
2θ 85.29, intensity 16.2, hkl 6 2 0

Structural model:
a = 7.1969 Å, b = 7.1969 Å, c = 7.1969 Å
α = 90.00°, β = 90.00°, γ = 90.00°
Space group F-43m (No. 216)
Symmetry-distinct sites (fractional):
Zr  0.0000  0.0000  0.0000 x4
Ga  0.0000  0.0000  0.5000 x4
Ga  0.2500  0.2500  0.2500 x4
Bi  0.2500  0.2500  0.7500 x4


(13)
Structure and simulated X-ray powder pattern of Cd2SeO (a structure optimized by DFT (GGA-PBE); Cu Kα, 1.54184 Å).

Largest 10 diffraction maxima, low angle first, 15° ≤ 2θ ≤ 90°:
2θ 27.68, intensity 35.2, hkl 1 0 1
2θ 28.49, intensity 19.6, hkl 0 0 4
2θ 30.36, intensity 100.0, hkl 1 0 2
2θ 34.41, intensity 78.3, hkl 1 0 3
2θ 39.47, intensity 19.6, hkl 1 0 4
2θ 47.21, intensity 58.6, hkl 1 1 0
2θ 51.64, intensity 32.9, hkl 1 0 6
2θ 56.07, intensity 16.4, hkl 1 1 4
2θ 57.17, intensity 15.9, hkl 2 0 2
2θ 59.71, intensity 15.2, hkl 2 0 3

Structural model:
a = 3.8505 Å, b = 3.8505 Å, c = 12.5310 Å
α = 90.00°, β = 90.00°, γ = 120.00°
Space group P6_3mc (No. 186)
Symmetry-distinct sites (fractional):
Cd  0.0000  0.0000  0.0000 x2
Cd  0.3333  0.6667  0.2726 x2
Se  0.3333  0.6667  0.6153 x2
O  0.0000  0.0000  0.3291 x2